1.
The following is a simulated X-ray powder pattern of GdMg2AgAu4. It was derived from the PBE geometry in OQMD, using Cu Kα X-rays.
Intensities are scaled so that the largest is 100.

Peak list (10 most intense, 2θ from 10° to 90°, by angle)
| 2theta | d_spacing | Rel. int. | h k l |
| --- | --- | --- | --- |
| 22.59 | 3.935 | 14 | 1 0 1 |
| 26.09 | 3.416 | 23 | 1 1 0 |
| 26.26 | 3.394 | 11 | 0 0 2 |
| 37.23 | 2.415 | 51 | 2 0 0 |
| 37.35 | 2.407 | 100 | 1 1 2 |
| 46.13 | 1.968 | 10 | 2 0 2 |
| 53.67 | 1.708 | 18 | 2 2 0 |
| 67.21 | 1.393 | 36 | 3 1 2 |
| 67.46 | 1.388 | 17 | 2 0 4 |
| 79.65 | 1.204 | 11 | 2 2 4 |

```
data_GdMg2AgAu4
_chemical_formula_sum 'Gd1 Mg2 Ag1 Au4'
_space_group_name_H-M_alt 'P 4/m m m'
_space_group_IT_number 123
_space_group_name_Hall '-P 4 2'
_cell_length_a 4.8305
_cell_length_b 4.8305
_cell_length_c 6.7870
_cell_angle_alpha 90.00
_cell_angle_beta 90.00
_cell_angle_gamma 90.00
loop_
_atom_site_label
_atom_site_type_symbol
_atom_site_fract_x
_atom_site_fract_y
_atom_site_fract_z
Gd1 Gd 0.0000 0.0000 0.0000
Mg1 Mg 0.0000 0.0000 0.5000
Mg2 Mg 0.5000 0.5000 0.0000
Ag1 Ag 0.5000 0.5000 0.5000
Au1 Au 0.0000 0.5000 0.2617
```

***

2.
The following is a simulated X-ray powder pattern of Pr2GdMg3AgAu2. It was derived from the PBE geometry in OQMD, using Cu Kα X-rays.
Intensities are scaled so that the largest is 100.

Peak list (10 most intense, 2θ from 10° to 90°, by angle)
| 2theta | d_spacing | Rel. int. | h k l |
| --- | --- | --- | --- |
| 12.97 | 6.824 | 33 | 0 1 1 |
| 22.57 | 3.940 | 50 | 0 0 2 |
| 31.48 | 2.841 | 94 | 1 3 1 |
| 34.18 | 2.623 | 100 | 1 4 0 |
| 34.78 | 2.579 | 22 | 0 1 3 |
| 39.62 | 2.274 | 39 | 0 6 0 |
| 41.35 | 2.183 | 31 | 1 4 2 |
| 44.15 | 2.051 | 22 | 2 0 0 |
| 60.81 | 1.523 | 22 | 2 6 0 |
| 63.62 | 1.463 | 25 | 1 7 3 |

```
data_Pr2GdMg3AgAu2
_chemical_formula_sum 'Pr4 Gd2 Mg6 Ag2 Au4'
_space_group_name_H-M_alt 'A m m 2'
_space_group_IT_number 38
_cell_length_a 4.1022
_cell_length_b 13.6449
_cell_length_c 7.8803
_cell_angle_alpha 90.00
_cell_angle_beta 90.00
_cell_angle_gamma 90.00
loop_
_space_group_symop_operation_xyz
'x,y,z'
'-x,-y,z'
'-x,y,z'
'x,-y,z'
'x,y+1/2,z+1/2'
'-x,-y+1/2,z+1/2'
'-x,y+1/2,z+1/2'
'x,-y+1/2,z+1/2'
loop_
_atom_site_label
_atom_site_type_symbol
_atom_site_fract_x
_atom_site_fract_y
_atom_site_fract_z
Pr1 Pr 0.0000 0.2080 0.0000
Gd1 Gd 0.0000 0.0000 0.3757
Mg1 Mg 0.5000 0.0000 0.0396
Mg2 Mg 0.5000 0.1216 0.6665
Ag1 Ag 0.0000 0.0000 0.7876
Au1 Au 0.5000 0.1618 0.2946
```

***

3.
The following is a simulated X-ray powder pattern of SrAgGeAu. It was derived from the PBE geometry in OQMD, using Cu Kα X-rays.
Intensities are scaled so that the largest is 100.

Peak list (10 most intense, 2θ from 10° to 90°, by angle)
| 2theta | d_spacing | Rel. int. | h k l |
| --- | --- | --- | --- |
| 21.52 | 4.129 | 7 | 1 1 1 |
| 24.90 | 3.575 | 12 | 2 0 0 |
| 35.51 | 2.528 | 100 | 2 2 0 |
| 41.90 | 2.156 | 4 | 3 1 1 |
| 43.86 | 2.064 | 4 | 2 2 2 |
| 51.09 | 1.788 | 18 | 4 0 0 |
| 57.65 | 1.599 | 5 | 4 2 0 |
| 63.76 | 1.460 | 36 | 4 2 2 |
| 75.16 | 1.264 | 11 | 4 4 0 |
| 85.98 | 1.131 | 16 | 6 2 0 |

```
data_SrAgGeAu
_chemical_formula_sum 'Sr4 Ag4 Ge4 Au4'
_space_group_name_H-M_alt 'F -4 3 m'
_space_group_IT_number 216
_space_group_name_Hall 'F -4 2 3'
_cell_length_a 7.1508
_cell_length_b 7.1508
_cell_length_c 7.1508
_cell_angle_alpha 90.00
_cell_angle_beta 90.00
_cell_angle_gamma 90.00
loop_
_atom_site_label
_atom_site_type_symbol
_atom_site_fract_x
_atom_site_fract_y
_atom_site_fract_z
Sr1 Sr 0.0000 0.0000 0.0000
Ag1 Ag 0.2500 0.2500 0.2500
Ge1 Ge 0.0000 0.0000 0.5000
Au1 Au 0.2500 0.2500 0.7500
```

***

4.
The following is a simulated X-ray powder pattern of AgH6IrAu. It was derived from the PBE geometry in OQMD, using Cu Kα X-rays.
Intensities are scaled so that the largest is 100.

Peak list (10 most intense, 2θ from 10° to 90°, by angle)
| 2theta | d_spacing | Rel. int. | h k l |
| --- | --- | --- | --- |
| 23.12 | 3.848 | 43 | 1 1 1 |
| 26.75 | 3.332 | 5 | 2 0 0 |
| 38.20 | 2.356 | 100 | 2 2 0 |
| 45.12 | 2.009 | 23 | 3 1 1 |
| 55.12 | 1.666 | 18 | 4 0 0 |
| 60.56 | 1.529 | 10 | 3 3 1 |
| 69.04 | 1.360 | 35 | 4 2 2 |
| 73.89 | 1.283 | 7 | 3 3 3 |
| 81.74 | 1.178 | 11 | 4 4 0 |
| 86.37 | 1.126 | 8 | 5 3 1 |

```
data_AgH6IrAu
_chemical_formula_sum 'Ag4 H24 Ir4 Au4'
_space_group_name_H-M_alt 'F -4 3 m'
_space_group_IT_number 216
_space_group_name_Hall 'F -4 2 3'
_cell_length_a 6.6643
_cell_length_b 6.6643
_cell_length_c 6.6643
_cell_angle_alpha 90.00
_cell_angle_beta 90.00
_cell_angle_gamma 90.00
loop_
_atom_site_label
_atom_site_type_symbol
_atom_site_fract_x
_atom_site_fract_y
_atom_site_fract_z
Ag1 Ag 0.0000 0.0000 0.0000
H1 H 0.0192 0.2500 0.7500
Ir1 Ir 0.0000 0.0000 0.5000
Au1 Au 0.2500 0.2500 0.2500
```